This entry pairs a crystal structure of CsMoBr6 with its simulated powder diffractogram. Radiation: a wavelength of 1.5418 Å. Structure: the PBE geometry in Alexandria.
Peak positions follow from Bragg's law for the DFT cell and can differ from measured ones.

Main lines, in order of rising 2θ (2θ from 10° to 90°):
index	two_theta	d/Å	I/Imax
1 1 1	16.8	5.273	42
4 0 -2	28.9	3.089	49
2 2 -1	29.7	3.009	100
1 1 -4	29.8	2.994	87
3 1 2	30.7	2.914	82
3 1 -5	38.9	2.312	31
5 1 1	40.3	2.239	29
1 3 3	46.0	1.972	41

Cell and atoms:
a = 12.8171 Å, b = 6.8890 Å, c = 13.3112 Å
α = 90.00°, β = 102.27°, γ = 90.00°
Space group C2/c (No. 15)
Asymmetric unit:
Cs  0.0000  0.1044  0.2500
Mo  0.2500  0.2500  0.0000
Br  0.0765  0.3830  0.8982
Br  0.1550  0.0520  0.5376
Br  0.2137  0.4092  0.1599